1.
Diffraction record for Rb4SiTcSe6. The X-ray diffraction stick pattern is simulated, not measured: it uses a structure optimized by DFT (GGA-PBE) and Cu Kα.
Neutral-atom scattering factors, no anomalous dispersion.

Top 12 peaks for 2θ from 5° to 70°, low angle first:
15.3°, rel. 31; 24.9°, rel. 76; 26.1°, rel. 100; 26.5°, rel. 81; 30.8°, rel. 27; 31.8°, rel. 47; 32.4°, rel. 21; 34.1°, rel. 20; 36.7°, rel. 24; 42.6°, rel. 29; 51.0°, rel. 21; 53.1°, rel. 17

Crystal structure
Unit cell a=7.160 b=7.800 c=9.342 alpha=71.75 beta=68.45 gamma=63.72
Positions (direct):
Rb 0.000 0.000 0.000
Rb 0.178 0.387 0.258
Rb 0.402 0.756 0.454
Rb 0.762 0.649 0.814
Si 0.458 0.258 0.819
Tc 0.709 0.144 0.444
Se 0.276 0.570 0.860
Se 0.358 0.195 0.629
Se 0.470 0.025 0.035
Se 0.696 0.384 0.221
Se 0.805 0.213 0.636
Se 0.895 0.822 0.406

***

2.
Diffraction record for KPrSO. The X-ray diffraction stick pattern is simulated, not measured: it uses a structure optimized by DFT (GGA-PBE) and Cu Kα.
Neutral-atom scattering factors, no anomalous dispersion.

Top 12 peaks for 2θ from 5° to 70°, low angle first:
8.0°, rel. 100; 21.7°, rel. 14; 24.5°, rel. 67; 29.4°, rel. 32; 29.5°, rel. 33; 31.4°, rel. 49; 35.6°, rel. 15; 35.8°, rel. 13; 39.2°, rel. 13; 43.4°, rel. 27; 50.5°, rel. 16; 53.4°, rel. 18

Crystal structure
Unit cell a=5.901 b=5.893 c=11.416 alpha=90.00 beta=104.67 gamma=90.00
Positions (direct):
K 0.048 0.000 0.100
K 0.451 0.001 0.900
K 0.549 0.501 0.100
K 0.952 0.500 0.900
Pr 0.052 0.260 0.605
Pr 0.448 0.259 0.395
Pr 0.552 0.759 0.605
Pr 0.948 0.760 0.395
S 0.097 0.500 0.200
S 0.404 0.501 0.800
S 0.596 0.001 0.200
S 0.903 0.000 0.800
O 0.250 0.010 0.500
O 0.250 0.510 0.500
O 0.750 0.010 0.500
O 0.750 0.510 0.500

***

3.
Diffraction record for CsBaGeAu. The X-ray diffraction stick pattern is simulated, not measured: it uses a structure optimized by DFT (GGA-PBE) and Cu Kα.
Neutral-atom scattering factors, no anomalous dispersion.

Top 11 peaks for 2θ from 5° to 70°, low angle first:
19.5°, rel. 6; 22.5°, rel. 6; 32.1°, rel. 100; 37.8°, rel. 4; 39.5°, rel. 2; 46.0°, rel. 18; 50.4°, rel. 2; 51.8°, rel. 3; 57.1°, rel. 38; 61.0°, rel. 1; 67.0°, rel. 12

Crystal structure
Unit cell a=5.585 b=5.585 c=5.585 alpha=60.00 beta=60.00 gamma=60.00
Positions (direct):
Cs 0.000 0.000 0.000
Ba 0.750 0.750 0.750
Ge 0.250 0.250 0.250
Au 0.500 0.500 0.500

***

4.
Diffraction record for Ba3Gd2Cl2O5. The X-ray diffraction stick pattern is simulated, not measured: it uses a structure optimized by DFT (GGA-PBE) and Cu Kα.
Neutral-atom scattering factors, no anomalous dispersion.

Top 12 peaks for 2θ from 5° to 70°, low angle first:
7.1°, rel. 33; 14.2°, rel. 19; 26.8°, rel. 82; 28.3°, rel. 100; 32.1°, rel. 93; 40.4°, rel. 53; 49.1°, rel. 33; 52.5°, rel. 45; 52.7°, rel. 25; 58.5°, rel. 17; 60.9°, rel. 19; 66.2°, rel. 18

Crystal structure
Unit cell a=12.874 b=12.874 c=12.874 alpha=160.02 beta=160.02 gamma=28.40
Positions (direct):
Ba 0.000 0.000 0.000
Ba 0.164 0.164 0.000
Ba 0.836 0.836 0.000
Gd 0.413 0.413 0.000
Gd 0.587 0.587 0.000
Cl 0.293 0.293 0.000
Cl 0.707 0.707 0.000
O 0.099 0.599 0.500
O 0.401 0.901 0.500
O 0.500 0.500 0.000
O 0.599 0.099 0.500
O 0.901 0.401 0.500

***

5.
Diffraction record for GdTa6Sn4. The X-ray diffraction stick pattern is simulated, not measured: it uses a structure optimized by DFT (GGA-PBE) and Cu Kα.
Neutral-atom scattering factors, no anomalous dispersion.

Top 12 peaks for 2θ from 5° to 70°, low angle first:
11.5°, rel. 22; 32.9°, rel. 30; 34.9°, rel. 79; 35.8°, rel. 100; 38.7°, rel. 65; 38.9°, rel. 95; 40.7°, rel. 90; 47.9°, rel. 30; 53.8°, rel. 29; 60.0°, rel. 20; 63.9°, rel. 50; 68.9°, rel. 26

Crystal structure
Unit cell a=8.408 b=8.408 c=8.408 alpha=40.56 beta=40.56 gamma=40.56
Positions (direct):
Gd 0.000 0.000 0.000
Ta 0.118 0.599 0.599
Ta 0.401 0.401 0.882
Ta 0.401 0.882 0.401
Ta 0.599 0.118 0.599
Ta 0.599 0.599 0.118
Ta 0.882 0.401 0.401
Sn 0.128 0.128 0.128
Sn 0.332 0.332 0.332
Sn 0.668 0.668 0.668
Sn 0.872 0.872 0.872

***

6.
Diffraction record for KNpF4. The X-ray diffraction stick pattern is simulated, not measured: it uses a structure optimized by DFT (GGA-PBE) and Cu Kα.
Neutral-atom scattering factors, no anomalous dispersion.

Top 12 peaks for 2θ from 5° to 70°, low angle first:
14.7°, rel. 56; 22.5°, rel. 37; 27.0°, rel. 100; 35.2°, rel. 10; 37.5°, rel. 21; 44.0°, rel. 21; 44.4°, rel. 21; 45.9°, rel. 19; 48.5°, rel. 12; 51.0°, rel. 18; 53.8°, rel. 15; 54.3°, rel. 15

Crystal structure
Unit cell a=3.955 b=3.955 c=6.022 alpha=90.00 beta=90.00 gamma=90.75
Positions (direct):
K 0.000 0.000 0.000
Np 0.500 0.500 0.500
F 0.000 0.500 0.281
F 0.000 0.500 0.719
F 0.500 0.000 0.281
F 0.500 0.000 0.719

***

7.
Diffraction record for H3Au. The X-ray diffraction stick pattern is simulated, not measured: it uses a structure optimized by DFT (GGA-PBE) and Cu Kα.
Neutral-atom scattering factors, no anomalous dispersion.

Top 10 peaks for 2θ from 5° to 70°, low angle first:
29.4°, rel. 51; 33.0°, rel. 100; 42.1°, rel. 17; 48.2°, rel. 1; 52.2°, rel. 19; 54.5°, rel. 25; 61.0°, rel. 30; 63.1°, rel. 16; 65.9°, rel. 1; 69.2°, rel. 8

Crystal structure
Unit cell a=6.074 b=6.074 c=6.068 alpha=90.00 beta=90.00 gamma=120.00
Positions (direct):
H 0.000 0.000 0.000
H 0.000 0.000 0.500
H 0.000 0.213 0.265
H 0.000 0.468 0.749
H 0.000 0.532 0.249
H 0.000 0.787 0.765
H 0.213 0.000 0.265
H 0.213 0.213 0.765
H 0.333 0.667 0.498
H 0.333 0.667 0.998
H 0.468 0.000 0.749
H 0.468 0.468 0.249
H 0.532 0.000 0.249
H 0.532 0.532 0.749
H 0.667 0.333 0.498
H 0.667 0.333 0.998
H 0.787 0.000 0.765
H 0.787 0.787 0.265
Au 0.000 0.342 0.011
Au 0.000 0.658 0.511
Au 0.342 0.000 0.011
Au 0.342 0.342 0.511
Au 0.658 0.000 0.511
Au 0.658 0.658 0.011

***

8.
Diffraction record for Ta5Mo3. The X-ray diffraction stick pattern is simulated, not measured: it uses a structure optimized by DFT (GGA-PBE) and Cu Kα.
Neutral-atom scattering factors, no anomalous dispersion.

Top 12 peaks for 2θ from 5° to 70°, low angle first:
20.4°, rel. 1; 28.4°, rel. 8; 30.8°, rel. 1; 34.4°, rel. 2; 39.2°, rel. 100; 39.3°, rel. 50; 44.7°, rel. 1; 53.2°, rel. 3; 56.4°, rel. 8; 56.8°, rel. 17; 64.7°, rel. 2; 68.1°, rel. 1

Crystal structure
Unit cell a=3.243 b=3.243 c=13.043 alpha=90.00 beta=90.00 gamma=90.00
Positions (direct):
Ta 0.000 0.000 0.000
Ta 0.000 0.000 0.243
Ta 0.000 0.000 0.757
Ta 0.500 0.500 0.379
Ta 0.500 0.500 0.621
Mo 0.000 0.000 0.500
Mo 0.500 0.500 0.125
Mo 0.500 0.500 0.875

***

9.
Diffraction record for LuNiSnW. The X-ray diffraction stick pattern is simulated, not measured: it uses a structure optimized by DFT (GGA-PBE) and Cu Kα.
Neutral-atom scattering factors, no anomalous dispersion.

Top 9 peaks for 2θ from 5° to 70°, low angle first:
23.1°, rel. 12; 26.7°, rel. 2; 38.1°, rel. 100; 45.1°, rel. 7; 47.2°, rel. 1; 55.0°, rel. 17; 60.5°, rel. 3; 62.2°, rel. 1; 68.9°, rel. 36

Crystal structure
Unit cell a=4.719 b=4.719 c=4.719 alpha=60.00 beta=60.00 gamma=60.00
Positions (direct):
Lu 0.000 0.000 0.000
Ni 0.500 0.500 0.500
Sn 0.250 0.250 0.250
W 0.750 0.750 0.750

***

10.
Diffraction record for ErAlGeO5. The X-ray diffraction stick pattern is simulated, not measured: it uses a structure optimized by DFT (GGA-PBE) and Cu Kα.
Neutral-atom scattering factors, no anomalous dispersion.

Top 12 peaks for 2θ from 5° to 70°, low angle first:
15.8°, rel. 23; 16.3°, rel. 13; 29.5°, rel. 74; 31.5°, rel. 100; 31.9°, rel. 23; 34.7°, rel. 23; 42.3°, rel. 17; 47.9°, rel. 20; 48.5°, rel. 16; 56.6°, rel. 24; 60.9°, rel. 18; 61.3°, rel. 13

Crystal structure
Unit cell a=7.182 b=8.304 c=5.603 alpha=90.00 beta=90.00 gamma=90.00
Positions (direct):
Er 0.141 0.173 0.000
Er 0.359 0.673 0.000
Er 0.641 0.327 0.000
Er 0.859 0.827 0.000
Al 0.000 0.500 0.248
Al 0.000 0.500 0.752
Al 0.500 0.000 0.248
Al 0.500 0.000 0.752
Ge 0.120 0.854 0.500
Ge 0.380 0.354 0.500
Ge 0.620 0.646 0.500
Ge 0.880 0.146 0.500
O 0.000 0.000 0.283
O 0.000 0.000 0.717
O 0.108 0.712 0.250
O 0.108 0.712 0.750
O 0.152 0.430 0.500
O 0.165 0.445 0.000
O 0.335 0.945 0.000
O 0.348 0.930 0.500
O 0.392 0.212 0.250
O 0.392 0.212 0.750
O 0.500 0.500 0.283
O 0.500 0.500 0.717
O 0.608 0.788 0.250
O 0.608 0.788 0.750
O 0.652 0.070 0.500
O 0.665 0.055 0.000
O 0.835 0.555 0.000
O 0.848 0.570 0.500
O 0.892 0.288 0.250
O 0.892 0.288 0.750